This entry pairs a crystal structure of Hg4ICl with its computed X-ray diffraction stick pattern. Radiation: Cu Kα. Structure: a crystal structure in Alexandria, relaxed with GGA-PBE.

Largest 10 diffraction maxima, in order of rising 2θ, 2θ from 5° to 70°:
| Position (°2θ) | d_spacing | I (rel.) |
| --- | --- | --- |
| 14.93 | 5.935 | 25 |
| 25.13 | 3.544 | 49 |
| 30.11 | 2.968 | 100 |
| 34.48 | 2.601 | 15 |
| 35.16 | 2.552 | 18 |
| 39.58 | 2.277 | 29 |
| 41.96 | 2.153 | 22 |
| 43.71 | 2.071 | 19 |
| 44.22 | 2.048 | 17 |
| 53.01 | 1.728 | 12 |

Crystal structure
abc: 8.425 8.425 6.817
angles: 105.35 105.35 114.56
Fractional positions:
Hg 0.019 0.296 0.233
Hg 0.173 0.475 0.737
Hg 0.296 0.019 0.733
Hg 0.475 0.173 0.237
Hg 0.525 0.827 0.763
Hg 0.704 0.981 0.267
Hg 0.827 0.525 0.263
Hg 0.981 0.704 0.767
I 0.415 0.585 0.250
I 0.585 0.415 0.750
Cl 0.096 0.904 0.250
Cl 0.904 0.096 0.750



This entry pairs a crystal structure of Ag2AsAuSe4 with its computed X-ray diffraction stick pattern. Radiation: Cu Kα. Structure: a crystal structure in Alexandria, relaxed with GGA-PBE.

Largest 10 diffraction maxima, in order of rising 2θ, 2θ from 5° to 70°:
| Position (°2θ) | d_spacing | I (rel.) |
| --- | --- | --- |
| 16.51 | 5.370 | 6 |
| 25.77 | 3.457 | 100 |
| 42.39 | 2.132 | 24 |
| 42.88 | 2.109 | 47 |
| 50.28 | 1.815 | 31 |
| 51.12 | 1.787 | 15 |
| 61.51 | 1.508 | 8 |
| 62.98 | 1.476 | 4 |
| 67.82 | 1.382 | 6 |
| 68.52 | 1.370 | 13 |

Crystal structure
abc: 7.282 7.282 7.282
angles: 131.08 131.08 71.69
Fractional positions:
Ag 0.000 0.000 0.000
Ag 0.750 0.250 0.500
As 0.250 0.750 0.500
Au 0.500 0.500 0.000
Se 0.142 0.107 0.508
Se 0.366 0.858 0.965
Se 0.599 0.634 0.492
Se 0.893 0.401 0.035



This entry pairs a crystal structure of K5Hg3Au3 with its computed X-ray diffraction stick pattern. Radiation: Cu Kα. Structure: a crystal structure in Alexandria, relaxed with GGA-PBE.

Largest 10 diffraction maxima, in order of rising 2θ, 2θ from 5° to 70°:
| Position (°2θ) | d_spacing | I (rel.) |
| --- | --- | --- |
| 17.50 | 5.069 | 100 |
| 26.87 | 3.318 | 15 |
| 30.55 | 2.927 | 32 |
| 33.10 | 2.706 | 13 |
| 35.42 | 2.535 | 14 |
| 36.91 | 2.435 | 13 |
| 37.68 | 2.387 | 31 |
| 45.66 | 1.987 | 22 |
| 49.26 | 1.850 | 11 |
| 50.42 | 1.810 | 11 |

Crystal structure
abc: 10.138 10.138 5.412
angles: 90.00 90.00 120.00
Fractional positions:
K 0.000 0.256 0.000
K 0.256 0.000 0.000
K 0.333 0.667 0.000
K 0.667 0.333 0.000
K 0.744 0.744 0.000
Hg 0.000 0.629 0.500
Hg 0.371 0.371 0.500
Hg 0.629 0.000 0.500
Au 0.000 0.628 0.000
Au 0.372 0.372 0.000
Au 0.628 0.000 0.000



This entry pairs a crystal structure of InAg3Se3 with its computed X-ray diffraction stick pattern. Radiation: Cu Kα. Structure: a crystal structure in Alexandria, relaxed with GGA-PBE.

Largest 10 diffraction maxima, in order of rising 2θ, 2θ from 5° to 70°:
| Position (°2θ) | d_spacing | I (rel.) |
| --- | --- | --- |
| 19.35 | 4.587 | 44 |
| 25.86 | 3.445 | 41 |
| 27.08 | 3.293 | 100 |
| 29.06 | 3.073 | 55 |
| 31.75 | 2.819 | 33 |
| 34.21 | 2.621 | 50 |
| 35.80 | 2.508 | 94 |
| 44.89 | 2.019 | 43 |
| 45.04 | 2.013 | 54 |
| 45.86 | 1.979 | 59 |

Crystal structure
abc: 6.889 6.813 15.048
angles: 90.00 91.41 90.00
Fractional positions:
In 0.144 0.121 0.414
In 0.144 0.379 0.914
In 0.856 0.621 0.086
In 0.856 0.879 0.586
Ag 0.186 0.223 0.171
Ag 0.186 0.277 0.671
Ag 0.399 0.604 0.567
Ag 0.399 0.896 0.067
Ag 0.428 0.548 0.270
Ag 0.428 0.952 0.770
Ag 0.572 0.048 0.230
Ag 0.572 0.452 0.730
Ag 0.601 0.104 0.933
Ag 0.601 0.396 0.433
Ag 0.814 0.723 0.329
Ag 0.814 0.777 0.829
Se 0.214 0.007 0.913
Se 0.214 0.493 0.413
Se 0.224 0.580 0.771
Se 0.224 0.920 0.271
Se 0.237 0.534 0.075
Se 0.237 0.966 0.575
Se 0.763 0.034 0.425
Se 0.763 0.466 0.925
Se 0.776 0.080 0.729
Se 0.776 0.420 0.229
Se 0.786 0.507 0.587
Se 0.786 0.993 0.087



This entry pairs a crystal structure of Zn3Cu6As4S12 with its computed X-ray diffraction stick pattern. Radiation: Cu Kα. Structure: a crystal structure in Alexandria, relaxed with GGA-PBE.

Largest 10 diffraction maxima, in order of rising 2θ, 2θ from 5° to 70°:
| Position (°2θ) | d_spacing | I (rel.) |
| --- | --- | --- |
| 29.00 | 3.079 | 100 |
| 29.09 | 3.070 | 34 |
| 33.53 | 2.672 | 13 |
| 48.16 | 1.890 | 25 |
| 48.27 | 1.886 | 13 |
| 48.32 | 1.883 | 12 |
| 48.48 | 1.878 | 25 |
| 57.13 | 1.612 | 13 |
| 57.25 | 1.609 | 17 |
| 57.62 | 1.600 | 8 |

Crystal structure
abc: 8.374 8.428 8.456
angles: 107.49 107.50 107.15
Fractional positions:
Zn 0.000 0.000 0.000
Zn 0.159 0.481 0.374
Zn 0.329 0.947 0.761
Cu 0.093 0.240 0.693
Cu 0.223 0.691 0.061
Cu 0.387 0.177 0.467
Cu 0.631 0.857 0.519
Cu 0.690 0.081 0.217
Cu 0.839 0.543 0.603
As 0.493 0.403 0.150
As 0.551 0.622 0.855
As 0.769 0.342 0.915
As 0.903 0.767 0.279
S 0.056 0.696 0.515
S 0.149 0.914 0.223
S 0.220 0.148 0.908
S 0.293 0.389 0.596
S 0.377 0.605 0.276
S 0.439 0.831 0.969
S 0.543 0.074 0.659
S 0.591 0.290 0.354
S 0.743 0.758 0.738
S 0.848 0.001 0.436
S 0.902 0.224 0.121
S 0.978 0.442 0.808



This entry pairs a crystal structure of BeBH4 with its computed X-ray diffraction stick pattern. Radiation: Cu Kα. Structure: a crystal structure in Alexandria, relaxed with GGA-PBE.

Largest 10 diffraction maxima, in order of rising 2θ, 2θ from 5° to 70°:
| Position (°2θ) | d_spacing | I (rel.) |
| --- | --- | --- |
| 25.07 | 3.553 | 100 |
| 28.23 | 3.161 | 19 |
| 29.61 | 3.017 | 49 |
| 37.87 | 2.376 | 16 |
| 38.01 | 2.367 | 12 |
| 50.77 | 1.798 | 8 |
| 50.91 | 1.794 | 8 |
| 56.41 | 1.631 | 5 |
| 58.08 | 1.588 | 12 |
| 58.71 | 1.573 | 6 |

Crystal structure
abc: 3.441 3.561 3.596
angles: 87.56 61.54 86.02
Fractional positions:
Be 0.000 0.000 0.000
B 0.317 0.000 0.367
H 0.025 0.238 0.583
H 0.176 0.744 0.216
H 0.393 0.762 0.587
H 0.612 0.256 0.208